Structure and calculated PXRD pattern of CaFe3F9 (a crystal structure in Alexandria, relaxed with GGA+U; copper Kα).

Structural model:
```
CaFe3F9
1.0
5.4949 0.0000 0.0000
0.0000 7.5760 0.0000
-0.5512 0.0000 8.3281
Ca Fe F
2 6 18
Direct
0.0338 0.2500 0.4282
0.9662 0.7500 0.5718
0.0000 0.0000 0.0000
0.0000 0.5000 0.0000
0.4666 0.0067 0.6954
0.4666 0.4933 0.6954
0.5334 0.5067 0.3046
0.5334 0.9933 0.3046
0.0973 0.2500 0.9735
0.1266 0.5639 0.7892
0.1266 0.9361 0.7892
0.2482 0.5480 0.4739
0.2482 0.9520 0.4739
0.3122 0.5509 0.1070
0.3122 0.9491 0.1070
0.3159 0.2500 0.6491
0.4016 0.2500 0.3075
0.5984 0.7500 0.6925
0.6841 0.7500 0.3509
0.6878 0.0509 0.8930
0.6878 0.4491 0.8930
0.7518 0.0480 0.5261
0.7518 0.4520 0.5261
0.8734 0.0639 0.2108
0.8734 0.4361 0.2108
0.9027 0.7500 0.0265
```

The 10 most intense peaks (15 to 90 degrees two-theta), low angle first:
19.97 deg, rel. 56, hkl 1 0 1
23.49 deg, rel. 90, hkl 0 2 0
26.00 deg, rel. 100, hkl 1 0 -2
27.74 deg, rel. 48, hkl 1 0 2
28.64 deg, rel. 28, hkl 1 2 0
31.01 deg, rel. 44, hkl 1 2 1
48.04 deg, rel. 37, hkl 0 4 0
54.26 deg, rel. 33, hkl 2 2 3
57.73 deg, rel. 35, hkl 3 2 1
59.07 deg, rel. 49, hkl 1 0 5